[1]
Starting from a DFT-relaxed cell (PBE, the Materials Project), the X-ray diffraction stick pattern of MgMnTlV4S8 was calculated for Cu Ka.
Neutral-atom scattering factors, no anomalous dispersion.

Structure:
```
MgMnTlV4S8
1.0
9.256 -1.701 0.000
9.256 1.701 0.000
-1.031 0.000 8.779
Mg Mn Tl V S
1 1 1 4 8
Direct
0.000 0.000 0.000
0.862 0.862 0.695
0.400 0.400 0.276
0.189 0.189 0.382
0.221 0.221 0.708
0.542 0.542 0.707
0.632 0.632 0.110
0.073 0.073 0.243
0.123 0.123 0.896
0.307 0.307 0.535
0.433 0.433 0.861
0.647 0.647 0.559
0.742 0.742 0.242
0.777 0.777 0.866
0.976 0.976 0.567
```

The 10 most intense peaks (10 to 90 degrees two-theta), sorted by position:
- 20.23°, intensity 77
- 20.74°, intensity 62
- 31.20°, intensity 56
- 32.32°, intensity 100
- 33.66°, intensity 81
- 34.04°, intensity 54
- 35.48°, intensity 53
- 37.47°, intensity 55
- 42.07°, intensity 70
- 52.23°, intensity 73

=====

[2]
Starting from a DFT-relaxed cell (PBE, the Materials Project), the X-ray diffraction stick pattern of SbO2 was calculated for Cu Ka.
Neutral-atom scattering factors, no anomalous dispersion.

Structure:
```
SbO2
1.0
5.552 0.000 0.000
0.000 4.907 0.000
0.000 0.000 11.937
Sb O
8 16
Direct
0.019 0.038 0.000
0.133 0.501 0.751
0.367 0.001 0.251
0.481 0.538 0.500
0.519 0.462 0.000
0.633 0.999 0.751
0.867 0.499 0.251
0.981 0.962 0.500
0.080 0.795 0.192
0.144 0.289 0.311
0.156 0.666 0.594
0.182 0.339 0.906
0.318 0.839 0.406
0.344 0.166 0.094
0.356 0.789 0.811
0.420 0.295 0.692
0.580 0.705 0.192
0.644 0.211 0.311
0.656 0.834 0.594
0.682 0.161 0.906
0.818 0.661 0.406
0.844 0.334 0.094
0.856 0.711 0.811
0.920 0.205 0.692
```

The 10 most intense peaks (10 to 90 degrees two-theta), sorted by position:
- 25.35°, intensity 35
- 28.51°, intensity 100
- 29.94°, intensity 28
- 33.15°, intensity 21
- 35.67°, intensity 11
- 36.63°, intensity 12
- 48.01°, intensity 18
- 52.28°, intensity 20
- 52.87°, intensity 12
- 61.96°, intensity 11

=====

[3]
Starting from a DFT-relaxed cell (PBE, the Materials Project), the X-ray diffraction stick pattern of PaBi3 was calculated for Cu Ka.
Neutral-atom scattering factors, no anomalous dispersion.

Structure:
```
PaBi3
1.0
-2.317 2.317 5.480
2.317 -2.317 5.480
2.317 2.317 -5.480
Pa Bi
1 3
Direct
0.000 0.000 0.000
0.250 0.750 0.500
0.500 0.500 0.000
0.750 0.250 0.500
```

The 10 most intense peaks (10 to 90 degrees two-theta), sorted by position:
- 31.82°, intensity 100
- 32.68°, intensity 23
- 38.86°, intensity 30
- 51.66°, intensity 27
- 56.13°, intensity 10
- 57.78°, intensity 19
- 65.98°, intensity 26
- 66.49°, intensity 13
- 81.64°, intensity 7
- 84.81°, intensity 14

=====

[4]
Starting from a DFT-relaxed cell (PBE, the Materials Project), the X-ray diffraction stick pattern of LiCuF4 was calculated for Cu Ka.
Neutral-atom scattering factors, no anomalous dispersion.

Structure:
```
LiCuF4
1.0
-2.617 2.617 4.886
2.617 -2.617 4.886
2.617 2.617 -4.886
Li Cu F
2 2 8
Direct
0.250 0.250 0.000
0.750 0.750 0.000
0.000 0.500 0.500
0.500 0.000 0.500
0.046 0.546 0.849
0.198 0.046 0.500
0.302 0.802 0.849
0.454 0.302 0.500
0.546 0.698 0.500
0.698 0.198 0.151
0.802 0.954 0.500
0.954 0.454 0.151
```

The 10 most intense peaks (10 to 90 degrees two-theta), sorted by position:
- 18.16°, intensity 54
- 24.05°, intensity 100
- 30.30°, intensity 91
- 39.05°, intensity 36
- 39.59°, intensity 24
- 47.85°, intensity 14
- 49.24°, intensity 20
- 51.15°, intensity 49
- 58.92°, intensity 26
- 68.47°, intensity 24

=====

[5]
Starting from a DFT-relaxed cell (PBE, the Materials Project), the X-ray diffraction stick pattern of La4Ag2Se7 was calculated for Cu Ka.
Neutral-atom scattering factors, no anomalous dispersion.

Structure:
```
La4Ag2Se7
1.0
7.626 0.000 0.000
0.000 12.499 0.000
-2.613 0.000 7.554
La Ag Se
8 4 14
Direct
0.000 0.064 0.000
0.000 0.936 0.500
0.429 0.147 0.795
0.429 0.853 0.295
0.614 0.204 0.351
0.614 0.796 0.851
0.918 0.374 0.796
0.918 0.626 0.296
0.122 0.310 0.371
0.122 0.690 0.871
0.523 0.438 0.999
0.523 0.562 0.499
0.006 0.171 0.630
0.006 0.829 0.130
0.270 0.068 0.373
0.270 0.932 0.873
0.285 0.286 0.049
0.285 0.714 0.549
0.475 0.348 0.601
0.475 0.652 0.101
0.682 0.003 0.164
0.682 0.997 0.664
0.785 0.254 0.048
0.785 0.746 0.548
0.825 0.423 0.412
0.825 0.577 0.912
```

The 10 most intense peaks (10 to 90 degrees two-theta), sorted by position:
- 23.83°, intensity 24
- 24.69°, intensity 39
- 30.95°, intensity 58
- 31.36°, intensity 54
- 31.61°, intensity 100
- 31.92°, intensity 47
- 32.04°, intensity 40
- 37.92°, intensity 29
- 38.12°, intensity 55
- 48.05°, intensity 23

=====

[6]
Starting from a DFT-relaxed cell (PBE, the Materials Project), the X-ray diffraction stick pattern of InBP2H5NO9 was calculated for Cu Ka.
Neutral-atom scattering factors, no anomalous dispersion.

Structure:
```
InBP2H5NO9
1.0
5.376 0.000 0.000
0.485 8.498 0.000
1.401 0.329 8.462
In B P H N O
2 2 4 10 2 18
Direct
0.223 0.318 0.207
0.777 0.682 0.793
0.393 0.225 0.564
0.607 0.775 0.436
0.280 0.429 0.811
0.304 0.916 0.690
0.696 0.084 0.310
0.720 0.571 0.189
0.080 0.360 0.532
0.101 0.777 0.067
0.143 0.941 0.161
0.336 0.780 0.177
0.354 0.883 0.002
0.646 0.117 0.998
0.664 0.220 0.823
0.857 0.059 0.839
0.899 0.223 0.933
0.920 0.640 0.468
0.233 0.845 0.102
0.767 0.155 0.898
0.034 0.479 0.745
0.055 0.862 0.783
0.217 0.313 0.956
0.224 0.310 0.464
0.251 0.094 0.649
0.369 0.826 0.532
0.423 0.568 0.847
0.461 0.332 0.680
0.477 0.103 0.214
0.523 0.897 0.786
0.539 0.668 0.320
0.577 0.432 0.153
0.631 0.174 0.468
0.749 0.906 0.351
0.776 0.690 0.536
0.783 0.687 0.044
0.945 0.138 0.217
0.966 0.521 0.255
```

The 10 most intense peaks (10 to 90 degrees two-theta), sorted by position:
- 10.42°, intensity 23
- 14.49°, intensity 100
- 19.30°, intensity 54
- 20.20°, intensity 26
- 20.99°, intensity 65
- 26.24°, intensity 38
- 26.94°, intensity 25
- 27.56°, intensity 52
- 33.07°, intensity 24
- 33.73°, intensity 21